# 1
Diffraction record for AuSBr6. The powder diffraction line list is theoretical, not measured: it uses the GGA-PBE geometry in OQMD and Cu Kα X-rays.
Intensities are scaled so that the largest is 100.

Top 10 peaks for 2θ = 15–90°, sorted by position:
d_spacing	I (rel.)
5.751	58
4.981	100
3.003	46
2.876	35
2.490	85
2.285	26
2.227	51
1.761	58
1.660	26
1.114	27

Atomic structure:
abc: 7.044 7.044 7.044
angles: 60.00 60.00 60.00
Sites, in units of the cell vectors:
Au 0.000 0.000 0.000
S 0.750 0.750 0.750
Br 0.255 0.255 0.745
Br 0.255 0.745 0.255
Br 0.255 0.745 0.745
Br 0.745 0.255 0.255
Br 0.745 0.255 0.745
Br 0.745 0.745 0.255


# 2
Diffraction record for NdYZn2As2O2. The powder diffraction line list is theoretical, not measured: it uses the GGA-PBE geometry in OQMD and Cu Kα X-rays.
Intensities are scaled so that the largest is 100.

Top 10 peaks for 2θ = 15–90°, sorted by position:
d_spacing	I (rel.)
2.986	100
2.831	15
2.699	26
2.394	51
2.002	38
1.757	31
1.663	36
1.415	12
1.219	13
1.102	13

Atomic structure:
abc: 4.003 4.003 8.963
angles: 90.00 90.00 90.00
Sites, in units of the cell vectors:
Nd 0.000 0.000 0.000
Y 0.500 0.500 0.254
Zn 0.000 0.500 0.630
Zn 0.500 0.000 0.630
As 0.000 0.000 0.451
As 0.500 0.500 0.811
O 0.000 0.500 0.137
O 0.500 0.000 0.137


# 3
Diffraction record for LiPrHgSe3. The powder diffraction line list is theoretical, not measured: it uses the GGA-PBE geometry in OQMD and Cu Kα X-rays.
Intensities are scaled so that the largest is 100.

Top 10 peaks for 2θ = 15–90°, sorted by position:
d_spacing	I (rel.)
3.829	42
3.318	42
3.005	75
2.817	49
2.738	100
2.419	31
2.125	64
1.976	30
1.942	33
1.696	40

Atomic structure:
abc: 11.514 4.251 13.714
angles: 90.00 90.00 90.00
Sites, in units of the cell vectors:
Li 0.135 0.250 0.035
Li 0.365 0.750 0.535
Li 0.635 0.250 0.465
Li 0.865 0.750 0.965
Pr 0.030 0.250 0.752
Pr 0.470 0.750 0.252
Pr 0.530 0.250 0.748
Pr 0.970 0.750 0.248
Hg 0.213 0.250 0.302
Hg 0.287 0.750 0.802
Hg 0.713 0.250 0.198
Hg 0.787 0.750 0.698
Se 0.012 0.250 0.388
Se 0.092 0.750 0.908
Se 0.221 0.750 0.167
Se 0.279 0.250 0.667
Se 0.408 0.250 0.408
Se 0.488 0.750 0.888
Se 0.512 0.250 0.112
Se 0.592 0.750 0.592
Se 0.721 0.750 0.333
Se 0.779 0.250 0.833
Se 0.908 0.250 0.092
Se 0.988 0.750 0.612